Diffraction record for Te2W3Se2S2. The powder diffractogram is computed, not measured: it uses a crystal structure in Alexandria, relaxed with PBE and Cu Kα (weighted mean of Kα1 and Kα2).
Peak positions follow from Bragg's law for the DFT cell and can differ from measured ones.

Atomic structure:
```
Te2W3Se2S2
1.0
3.346 0.000 0.000
-1.673 2.898 0.000
0.000 0.000 22.768
Te W Se S
2 3 2 2
Direct
0.000 0.000 0.000 Te
0.000 0.000 0.168 Te
0.000 0.000 0.760 W
0.667 0.333 0.084 W
0.667 0.333 0.451 W
0.000 0.000 0.377 Se
0.000 0.000 0.524 Se
0.667 0.333 0.693 S
0.667 0.333 0.827 S
```

Peak list (10 most intense, 2θ from 10° to 80°, sorted by position)
| Position (°2θ) | d [Å] | I/Imax |
| --- | --- | --- |
| 11.66 | 7.589 | 100 |
| 30.85 | 2.898 | 27 |
| 33.09 | 2.707 | 16 |
| 34.74 | 2.583 | 9 |
| 36.76 | 2.445 | 58 |
| 39.11 | 2.303 | 11 |
| 44.62 | 2.031 | 36 |
| 54.87 | 1.673 | 19 |
| 56.30 | 1.634 | 11 |
| 67.88 | 1.381 | 10 |


Diffraction record for TeW2Se2S. The powder diffractogram is computed, not measured: it uses a crystal structure in Alexandria, relaxed with PBE and Cu Kα (weighted mean of Kα1 and Kα2).
Peak positions follow from Bragg's law for the DFT cell and can differ from measured ones.

Atomic structure:
```
TeW2Se2S
1.0
3.341 0.000 0.000
-1.671 2.894 0.000
0.000 0.000 33.916
Te W Se S
2 4 4 2
Direct
0.000 0.000 0.000 Te
0.000 0.000 0.113 Te
0.000 0.000 0.419 W
0.000 0.000 0.839 W
0.333 0.667 0.056 W
0.333 0.667 0.634 W
0.000 0.000 0.585 Se
0.000 0.000 0.684 Se
0.333 0.667 0.370 Se
0.333 0.667 0.469 Se
0.333 0.667 0.795 S
0.333 0.667 0.884 S
```

Peak list (10 most intense, 2θ from 10° to 80°, sorted by position)
| Position (°2θ) | d [Å] | I/Imax |
| --- | --- | --- |
| 10.43 | 8.479 | 66 |
| 13.05 | 6.783 | 84 |
| 30.90 | 2.894 | 40 |
| 33.67 | 2.662 | 17 |
| 36.16 | 2.484 | 100 |
| 41.00 | 2.201 | 21 |
| 44.83 | 2.022 | 53 |
| 54.96 | 1.671 | 30 |
| 67.57 | 1.386 | 16 |
| 78.40 | 1.220 | 17 |


Diffraction record for Th4SeS3. The powder diffractogram is computed, not measured: it uses a crystal structure in Alexandria, relaxed with PBE and Cu Kα (weighted mean of Kα1 and Kα2).
Peak positions follow from Bragg's law for the DFT cell and can differ from measured ones.

Atomic structure:
```
Th4SeS3
1.0
4.069 -5.785 0.000
4.069 5.785 0.000
0.000 0.000 4.096
Th Se S
4 1 3
Direct
0.239 0.239 0.500 Th
0.245 0.755 0.000 Th
0.755 0.245 0.000 Th
0.761 0.761 0.500 Th
0.500 0.500 0.000 Se
0.000 0.000 0.000 S
0.000 0.500 0.500 S
0.500 0.000 0.500 S
```

Peak list (10 most intense, 2θ from 10° to 80°, sorted by position)
| Position (°2θ) | d [Å] | I/Imax |
| --- | --- | --- |
| 26.67 | 3.343 | 42 |
| 26.79 | 3.328 | 41 |
| 30.96 | 2.889 | 100 |
| 44.23 | 2.048 | 13 |
| 44.33 | 2.043 | 50 |
| 52.47 | 1.744 | 28 |
| 52.67 | 1.738 | 14 |
| 54.94 | 1.671 | 13 |
| 55.20 | 1.664 | 13 |
| 73.17 | 1.293 | 17 |


Diffraction record for Th5Se4S. The powder diffractogram is computed, not measured: it uses a crystal structure in Alexandria, relaxed with PBE and Cu Kα (weighted mean of Kα1 and Kα2).
Peak positions follow from Bragg's law for the DFT cell and can differ from measured ones.

Atomic structure:
```
Th5Se4S
1.0
-2.086 2.086 14.756
2.086 -2.086 14.756
2.086 2.086 -14.756
Th Se S
5 4 1
Direct
0.000 0.000 0.000 Th
0.201 0.201 0.000 Th
0.404 0.404 0.000 Th
0.596 0.596 0.000 Th
0.799 0.799 0.000 Th
0.100 0.100 0.000 Se
0.302 0.302 0.000 Se
0.698 0.698 0.000 Se
0.900 0.900 0.000 Se
0.500 0.500 0.000 S
```

Peak list (10 most intense, 2θ from 10° to 80°, sorted by position)
| Position (°2θ) | d [Å] | I/Imax |
| --- | --- | --- |
| 26.15 | 3.407 | 51 |
| 30.29 | 2.951 | 100 |
| 34.80 | 2.578 | 1 |
| 43.37 | 2.087 | 75 |
| 51.35 | 1.779 | 26 |
| 53.81 | 1.704 | 27 |
| 63.00 | 1.475 | 12 |
| 69.42 | 1.354 | 11 |
| 71.49 | 1.320 | 34 |
| 79.58 | 1.205 | 26 |


Diffraction record for Th2SeS2. The powder diffractogram is computed, not measured: it uses a crystal structure in Alexandria, relaxed with PBE and Cu Kα (weighted mean of Kα1 and Kα2).
Peak positions follow from Bragg's law for the DFT cell and can differ from measured ones.

Atomic structure:
```
Th2SeS2
1.0
-2.054 2.798 6.360
2.054 -2.798 6.360
2.054 2.798 -6.360
Th Se S
2 1 2
Direct
0.165 0.165 0.000 Th
0.835 0.835 0.000 Th
0.000 0.500 0.500 Se
0.324 0.824 0.500 S
0.676 0.176 0.500 S
```

Peak list (10 most intense, 2θ from 10° to 80°, sorted by position)
| Position (°2θ) | d [Å] | I/Imax |
| --- | --- | --- |
| 13.92 | 6.360 | 28 |
| 17.31 | 5.123 | 82 |
| 26.37 | 3.380 | 35 |
| 26.93 | 3.311 | 33 |
| 30.30 | 2.950 | 100 |
| 30.43 | 2.937 | 37 |
| 31.98 | 2.798 | 44 |
| 39.28 | 2.294 | 25 |
| 42.64 | 2.120 | 19 |
| 44.63 | 2.030 | 69 |


Diffraction record for Th3Se3S. The powder diffractogram is computed, not measured: it uses a crystal structure in Alexandria, relaxed with PBE and Cu Kα (weighted mean of Kα1 and Kα2).
Peak positions follow from Bragg's law for the DFT cell and can differ from measured ones.

Atomic structure:
```
Th3Se3S
1.0
-4.078 4.142 5.848
4.078 -4.142 5.848
4.078 4.142 -5.848
Th Se S
6 6 2
Direct
0.252 0.002 0.250 Th
0.261 0.000 0.761 Th
0.261 0.500 0.261 Th
0.739 0.000 0.239 Th
0.739 0.500 0.739 Th
0.748 0.998 0.750 Th
0.000 0.264 0.264 Se
0.000 0.736 0.736 Se
0.009 0.259 0.750 Se
0.500 0.264 0.764 Se
0.500 0.736 0.236 Se
0.991 0.741 0.250 Se
0.497 0.747 0.750 S
0.503 0.253 0.250 S
```

Peak list (10 most intense, 2θ from 10° to 80°, sorted by position)
| Position (°2θ) | d [Å] | I/Imax |
| --- | --- | --- |
| 13.23 | 6.691 | 34 |
| 25.30 | 3.521 | 29 |
| 26.37 | 3.380 | 25 |
| 26.65 | 3.345 | 25 |
| 30.57 | 2.924 | 51 |
| 30.77 | 2.906 | 100 |
| 43.71 | 2.071 | 19 |
| 43.93 | 2.061 | 75 |
| 54.28 | 1.690 | 20 |
| 54.89 | 1.673 | 20 |


Diffraction record for Ti4SeS. The powder diffractogram is computed, not measured: it uses a crystal structure in Alexandria, relaxed with PBE and Cu Kα (weighted mean of Kα1 and Kα2).
Peak positions follow from Bragg's law for the DFT cell and can differ from measured ones.

Atomic structure:
```
Ti4SeS
1.0
6.743 0.000 0.000
0.000 5.249 0.000
-3.193 0.000 6.012
Ti Se S
8 2 2
Direct
0.164 0.216 0.346 Ti
0.164 0.284 0.846 Ti
0.301 0.717 0.139 Ti
0.301 0.783 0.639 Ti
0.699 0.217 0.361 Ti
0.699 0.283 0.861 Ti
0.836 0.716 0.154 Ti
0.836 0.784 0.654 Ti
0.500 0.000 0.000 Se
0.500 0.500 0.500 Se
0.000 0.000 0.000 S
0.000 0.500 0.500 S
```

Peak list (10 most intense, 2θ from 10° to 80°, sorted by position)
| Position (°2θ) | d [Å] | I/Imax |
| --- | --- | --- |
| 22.49 | 3.954 | 78 |
| 31.55 | 2.836 | 92 |
| 34.38 | 2.608 | 100 |
| 34.64 | 2.590 | 58 |
| 35.33 | 2.540 | 68 |
| 45.90 | 1.977 | 33 |
| 46.10 | 1.969 | 65 |
| 46.65 | 1.947 | 55 |
| 52.43 | 1.745 | 33 |
| 53.92 | 1.700 | 33 |


Diffraction record for Ti6SeS. The powder diffractogram is computed, not measured: it uses a crystal structure in Alexandria, relaxed with PBE and Cu Kα (weighted mean of Kα1 and Kα2).
Peak positions follow from Bragg's law for the DFT cell and can differ from measured ones.

Atomic structure:
```
Ti6SeS
1.0
5.587 0.000 0.000
-2.790 4.843 0.000
-2.777 -1.615 5.319
Ti Se S
6 1 1
Direct
0.016 0.056 0.260 Ti
0.294 0.538 0.740 Ti
0.300 0.744 0.260 Ti
0.700 0.256 0.740 Ti
0.706 0.462 0.260 Ti
0.984 0.944 0.740 Ti
0.500 0.000 0.000 Se
0.500 0.500 0.500 S
```

Peak list (10 most intense, 2θ from 10° to 80°, sorted by position)
| Position (°2θ) | d [Å] | I/Imax |
| --- | --- | --- |
| 21.47 | 4.139 | 21 |
| 29.00 | 3.079 | 42 |
| 33.70 | 2.660 | 11 |
| 36.30 | 2.474 | 100 |
| 36.38 | 2.470 | 10 |
| 38.88 | 2.316 | 24 |
| 47.12 | 1.929 | 29 |
| 47.24 | 1.924 | 24 |
| 51.21 | 1.784 | 11 |
| 57.08 | 1.614 | 29 |


Diffraction record for TiW2Se4S2. The powder diffractogram is computed, not measured: it uses a crystal structure in Alexandria, relaxed with PBE and Cu Kα (weighted mean of Kα1 and Kα2).
Peak positions follow from Bragg's law for the DFT cell and can differ from measured ones.

Atomic structure:
```
TiW2Se4S2
1.0
3.329 0.000 0.000
-1.665 2.883 0.000
0.000 0.000 21.420
Ti W Se S
1 2 4 2
Direct
0.000 0.000 0.000 Ti
0.000 0.000 0.655 W
0.667 0.333 0.320 W
0.000 0.000 0.241 Se
0.000 0.000 0.398 Se
0.667 0.333 0.577 Se
0.667 0.333 0.734 Se
0.667 0.333 0.071 S
0.667 0.333 0.929 S
```

Peak list (10 most intense, 2θ from 10° to 80°, sorted by position)
| Position (°2θ) | d [Å] | I/Imax |
| --- | --- | --- |
| 12.40 | 7.140 | 100 |
| 31.02 | 2.883 | 26 |
| 33.52 | 2.674 | 14 |
| 35.36 | 2.539 | 31 |
| 37.60 | 2.392 | 46 |
| 43.11 | 2.099 | 30 |
| 46.27 | 1.962 | 26 |
| 55.17 | 1.665 | 20 |
| 56.79 | 1.621 | 12 |
| 78.58 | 1.217 | 12 |


Diffraction record for TlSe3S8. The powder diffractogram is computed, not measured: it uses a crystal structure in Alexandria, relaxed with PBE and Cu Kα (weighted mean of Kα1 and Kα2).
Peak positions follow from Bragg's law for the DFT cell and can differ from measured ones.

Atomic structure:
```
TlSe3S8
1.0
6.637 0.000 0.000
-2.476 7.231 0.000
-2.521 -1.529 8.169
Tl Se S
1 3 8
Direct
0.000 0.000 0.000 Tl
0.022 0.589 0.666 Se
0.409 0.204 0.730 Se
0.411 0.656 0.243 Se
0.030 0.039 0.633 S
0.035 0.545 0.116 S
0.393 0.644 0.728 S
0.430 0.437 0.588 S
0.460 0.120 0.197 S
0.518 0.898 0.112 S
0.945 0.357 0.911 S
0.970 0.793 0.489 S
```

Peak list (10 most intense, 2θ from 10° to 80°, sorted by position)
| Position (°2θ) | d [Å] | I/Imax |
| --- | --- | --- |
| 10.83 | 8.169 | 51 |
| 14.96 | 5.923 | 44 |
| 17.99 | 4.932 | 60 |
| 20.55 | 4.322 | 23 |
| 21.80 | 4.077 | 36 |
| 21.95 | 4.050 | 75 |
| 24.10 | 3.693 | 52 |
| 26.32 | 3.386 | 23 |
| 30.17 | 2.963 | 100 |
| 41.84 | 2.159 | 24 |


Diffraction record for Tl3SeS8. The powder diffractogram is computed, not measured: it uses a crystal structure in Alexandria, relaxed with PBE and Cu Kα (weighted mean of Kα1 and Kα2).
Peak positions follow from Bragg's law for the DFT cell and can differ from measured ones.

Atomic structure:
```
Tl3SeS8
1.0
5.182 -5.298 0.000
5.182 5.298 0.000
-0.800 0.000 6.409
Tl Se S
3 1 8
Direct
0.000 0.000 0.000 Tl
0.394 0.872 0.540 Tl
0.872 0.394 0.540 Tl
0.340 0.340 0.034 Se
0.070 0.513 0.103 S
0.305 0.305 0.671 S
0.350 0.855 0.002 S
0.472 0.472 0.544 S
0.513 0.070 0.103 S
0.825 0.825 0.616 S
0.855 0.350 0.002 S
0.984 0.984 0.463 S
```

Peak list (10 most intense, 2θ from 10° to 80°, sorted by position)
| Position (°2θ) | d [Å] | I/Imax |
| --- | --- | --- |
| 11.99 | 7.379 | 29 |
| 21.77 | 4.083 | 57 |
| 24.12 | 3.690 | 100 |
| 26.79 | 3.328 | 27 |
| 27.84 | 3.204 | 62 |
| 33.84 | 2.649 | 45 |
| 38.83 | 2.319 | 34 |
| 38.94 | 2.313 | 28 |
| 44.37 | 2.042 | 36 |
| 45.77 | 1.982 | 35 |


Diffraction record for Tl2SeS6. The powder diffractogram is computed, not measured: it uses a crystal structure in Alexandria, relaxed with PBE and Cu Kα (weighted mean of Kα1 and Kα2).
Peak positions follow from Bragg's law for the DFT cell and can differ from measured ones.

Atomic structure:
```
Tl2SeS6
1.0
4.374 0.000 0.000
2.117 6.561 0.000
1.941 2.974 8.903
Tl Se S
2 1 6
Direct
0.166 0.255 0.413 Tl
0.834 0.745 0.587 Tl
0.500 0.500 0.500 Se
0.053 0.277 0.869 S
0.056 0.937 0.210 S
0.211 0.767 0.920 S
0.789 0.233 0.080 S
0.944 0.063 0.790 S
0.947 0.723 0.131 S
```

Peak list (10 most intense, 2θ from 10° to 80°, sorted by position)
| Position (°2θ) | d [Å] | I/Imax |
| --- | --- | --- |
| 19.83 | 4.478 | 55 |
| 21.46 | 4.140 | 46 |
| 28.10 | 3.176 | 85 |
| 28.69 | 3.111 | 49 |
| 28.80 | 3.099 | 52 |
| 28.94 | 3.085 | 47 |
| 29.76 | 3.002 | 52 |
| 30.33 | 2.947 | 100 |
| 31.28 | 2.860 | 50 |
| 48.44 | 1.879 | 43 |


Diffraction record for Tl6Se3S. The powder diffractogram is computed, not measured: it uses a crystal structure in Alexandria, relaxed with PBE and Cu Kα (weighted mean of Kα1 and Kα2).
Peak positions follow from Bragg's law for the DFT cell and can differ from measured ones.

Atomic structure:
```
Tl6Se3S
1.0
6.513 0.000 0.000
0.000 7.643 0.000
-6.353 0.000 13.099
Tl Se S
12 6 2
Direct
0.077 0.163 0.413 Tl
0.077 0.337 0.913 Tl
0.303 0.654 0.412 Tl
0.303 0.846 0.912 Tl
0.353 0.026 0.244 Tl
0.353 0.474 0.744 Tl
0.647 0.526 0.256 Tl
0.647 0.974 0.756 Tl
0.697 0.154 0.088 Tl
0.697 0.346 0.588 Tl
0.923 0.663 0.087 Tl
0.923 0.837 0.587 Tl
0.000 0.000 0.000 Se
0.000 0.500 0.500 Se
0.093 0.135 0.739 Se
0.093 0.365 0.239 Se
0.907 0.635 0.761 Se
0.907 0.865 0.261 Se
0.500 0.000 0.500 S
0.500 0.500 0.000 S
```

Peak list (10 most intense, 2θ from 10° to 80°, sorted by position)
| Position (°2θ) | d [Å] | I/Imax |
| --- | --- | --- |
| 24.41 | 3.647 | 61 |
| 24.69 | 3.606 | 58 |
| 27.06 | 3.295 | 100 |
| 27.35 | 3.261 | 57 |
| 27.93 | 3.195 | 51 |
| 29.83 | 2.996 | 46 |
| 30.69 | 2.913 | 100 |
| 31.10 | 2.876 | 72 |
| 37.92 | 2.373 | 71 |
| 41.36 | 2.183 | 44 |